[1]
The following is a calculated powder diffraction line list of RbAg2BiF8. It was derived from DFT lattice parameters and positions (PBE), using Cu Ka.

Atomic structure:
```
data_RbAg2BiF8
_space_group_name_H-M_alt 'I -4'
_space_group_IT_number 82
_cell_length_a 6.361
_cell_length_b 6.361
_cell_length_c 9.564
_cell_angle_alpha 90.00
_cell_angle_beta 90.00
_cell_angle_gamma 90.00
loop_
_space_group_symop_operation_xyz
'x,y,z'
'y,-x,-z'
'-x,-y,z'
'-y,x,-z'
'x+1/2,y+1/2,z+1/2'
'y+1/2,-x+1/2,-z+1/2'
'-x+1/2,-y+1/2,z+1/2'
'-y+1/2,x+1/2,-z+1/2'
loop_
_atom_site_label
_atom_site_fract_x
_atom_site_fract_y
_atom_site_fract_z
Rb1 0.000 0.000 0.000
Ag1 0.000 0.000 0.500
Ag2 0.000 0.500 0.250
Bi1 0.000 0.500 0.750
F1 0.022 0.319 0.518
F2 0.198 0.201 0.768
```

Largest 6 diffraction maxima, in order of rising 2θ, 2θ from 5° to 70°:
d = 3.276 Å, 27.2 deg, intensity 100.0, (1 1 2); d = 3.181 Å, 28.1 deg, intensity 43.9, (2 0 0); d = 2.391 Å, 37.6 deg, intensity 20.2, (0 0 4); d = 2.249 Å, 40.1 deg, intensity 21.1, (2 2 0); d = 1.911 Å, 47.6 deg, intensity 21.5, (2 0 4); d = 1.854 Å, 49.1 deg, intensity 53.2, (1 3 2)



[2]
The following is a calculated powder diffraction line list of Rb2AgBiF6. It was derived from DFT lattice parameters and positions (PBE), using Cu Ka.

Atomic structure:
```
data_Rb2AgBiF6
_space_group_name_H-M_alt 'P m m n'
_space_group_IT_number 59
_cell_length_a 6.660
_cell_length_b 9.371
_cell_length_c 6.681
_cell_angle_alpha 90.00
_cell_angle_beta 90.00
_cell_angle_gamma 90.00
loop_
_space_group_symop_operation_xyz
'x,y,z'
'-x,-y,-z'
'-x+1/2,-y+1/2,z'
'x+1/2,y+1/2,-z'
'x+1/2,-y,-z'
'-x+1/2,y,z'
'-x,y+1/2,-z'
'x,-y+1/2,z'
loop_
_atom_site_label
_atom_site_fract_x
_atom_site_fract_y
_atom_site_fract_z
Rb1 0.250 0.010 0.229
Ag1 0.250 0.250 0.738
Bi1 0.250 0.750 0.759
F1 0.010 0.250 0.464
F2 0.019 0.750 0.006
F3 0.250 0.509 0.785
```

Largest 6 diffraction maxima, in order of rising 2θ, 2θ from 5° to 70°:
d = 3.335 Å, 26.7 deg, intensity 50.3, (2 0 0); d = 3.324 Å, 26.8 deg, intensity 100.0, (1 2 1); d = 2.358 Å, 38.2 deg, intensity 34.3, (2 0 2); d = 1.926 Å, 47.2 deg, intensity 21.1, (1 2 3); d = 1.920 Å, 47.3 deg, intensity 32.2, (3 2 1); d = 1.662 Å, 55.3 deg, intensity 21.7, (2 4 2)



[3]
The following is a calculated powder diffraction line list of Fe4Ag2Bi. It was derived from DFT lattice parameters and positions (PBE), using Cu Ka.

Atomic structure:
```
data_Fe4Ag2Bi
_space_group_name_H-M_alt 'I 4/m m m'
_space_group_IT_number 139
_space_group_name_Hall '-I 4 2'
_cell_length_a 4.865
_cell_length_b 4.865
_cell_length_c 13.167
_cell_angle_alpha 90.00
_cell_angle_beta 90.00
_cell_angle_gamma 90.00
loop_
_atom_site_label
_atom_site_fract_x
_atom_site_fract_y
_atom_site_fract_z
Fe1 0.000 0.000 0.204
Fe2 0.000 0.500 0.000
Ag1 0.000 0.000 0.394
Bi1 0.000 0.000 0.000
```

Largest 6 diffraction maxima, in order of rising 2θ, 2θ from 5° to 70°:
d = 6.583 Å, 13.4 deg, intensity 85.9, (0 0 2); d = 3.440 Å, 25.9 deg, intensity 91.3, (1 1 0); d = 3.259 Å, 27.4 deg, intensity 36.1, (1 0 3); d = 2.432 Å, 37.0 deg, intensity 86.5, (2 0 0); d = 2.316 Å, 38.9 deg, intensity 100.0, (1 0 5); d = 1.677 Å, 54.7 deg, intensity 72.0, (2 1 5)



[4]
The following is a calculated powder diffraction line list of GdAgBiPt. It was derived from DFT lattice parameters and positions (PBE), using Cu Ka.

Atomic structure:
```
data_GdAgBiPt
_space_group_name_H-M_alt 'F -4 3 m'
_space_group_IT_number 216
_space_group_name_Hall 'F -4 2 3'
_cell_length_a 7.106
_cell_length_b 7.106
_cell_length_c 7.106
_cell_angle_alpha 90.00
_cell_angle_beta 90.00
_cell_angle_gamma 90.00
loop_
_atom_site_label
_atom_site_fract_x
_atom_site_fract_y
_atom_site_fract_z
Gd1 0.000 0.000 0.000
Ag1 0.250 0.250 0.250
Bi1 0.000 0.000 0.500
Pt1 0.250 0.250 0.750
```

Largest 6 diffraction maxima, in order of rising 2θ, 2θ from 5° to 70°:
d = 4.103 Å, 21.7 deg, intensity 4.4, (1 1 1); d = 2.512 Å, 35.7 deg, intensity 100.0, (2 2 0); d = 2.143 Å, 42.2 deg, intensity 2.7, (3 1 1); d = 1.776 Å, 51.4 deg, intensity 17.8, (4 0 0); d = 1.630 Å, 56.4 deg, intensity 1.2, (3 3 1); d = 1.450 Å, 64.2 deg, intensity 36.6, (4 2 2)



[5]
The following is a calculated powder diffraction line list of AgGeBiTe3. It was derived from DFT lattice parameters and positions (PBE), using Cu Ka.

Atomic structure:
```
data_AgGeBiTe3
_space_group_name_H-M_alt 'I m m 2'
_space_group_IT_number 44
_cell_length_a 4.367
_cell_length_b 6.124
_cell_length_c 13.077
_cell_angle_alpha 90.00
_cell_angle_beta 90.00
_cell_angle_gamma 90.00
loop_
_space_group_symop_operation_xyz
'x,y,z'
'-x,-y,z'
'-x,y,z'
'x,-y,z'
'x+1/2,y+1/2,z+1/2'
'-x+1/2,-y+1/2,z+1/2'
'-x+1/2,y+1/2,z+1/2'
'x+1/2,-y+1/2,z+1/2'
loop_
_atom_site_label
_atom_site_fract_x
_atom_site_fract_y
_atom_site_fract_z
Ag1 0.000 0.000 0.000
Ge1 0.000 0.000 0.324
Bi1 0.000 0.000 0.663
Te1 0.000 0.500 0.335
Te2 0.000 0.500 0.664
Te3 0.000 0.500 0.985
```

Largest 6 diffraction maxima, in order of rising 2θ, 2θ from 5° to 70°:
d = 3.085 Å, 28.9 deg, intensity 100.0, (1 0 3); d = 3.062 Å, 29.2 deg, intensity 49.6, (0 2 0); d = 2.182 Å, 41.4 deg, intensity 37.6, (2 0 0); d = 2.173 Å, 41.6 deg, intensity 75.1, (1 2 3); d = 1.778 Å, 51.4 deg, intensity 22.0, (2 2 0); d = 1.378 Å, 68.0 deg, intensity 24.6, (2 2 6)



[6]
The following is a calculated powder diffraction line list of AgBi3H2Pd6. It was derived from DFT lattice parameters and positions (PBE), using Cu Ka.

Atomic structure:
```
data_AgBi3H2Pd6
_space_group_name_H-M_alt 'P -3 m 1'
_space_group_IT_number 164
_space_group_name_Hall '-P 3 2"'
_cell_length_a 5.5475
_cell_length_b 5.5475
_cell_length_c 8.9897
_cell_angle_alpha 90.00
_cell_angle_beta 90.00
_cell_angle_gamma 120.00
loop_
_atom_site_label
_atom_site_fract_x
_atom_site_fract_y
_atom_site_fract_z
Ag1 0.0000 0.0000 0.0000
Bi1 0.0000 0.0000 0.5000
Bi2 0.3333 0.6667 0.1394
H1 0.3333 0.6667 0.6526
Pd1 0.1676 0.3351 0.7483
```

Largest 6 diffraction maxima, in order of rising 2θ, 2θ from 5° to 70°:
d = 4.237 Å, 21.0 deg, intensity 35.0, (1 0 1); d = 3.282 Å, 27.2 deg, intensity 65.2, (0 1 2); d = 2.321 Å, 38.8 deg, intensity 100.0, (0 2 1); d = 2.119 Å, 42.7 deg, intensity 59.5, (2 0 2); d = 2.036 Å, 44.5 deg, intensity 56.2, (1 0 4); d = 1.684 Å, 54.5 deg, intensity 33.1, (1 2 2)